Calculated powder diffraction line list of LiCrNi2O4 for Cu Kα, 1.54184 Å, from the GGA+U geometry in Alexandria.

Main lines, low angle first (2θ = 10–90°):
2θ/deg	I/Imax	hkl
18.28	36	0 0 1
37.17	41	1 1 -1
41.55	58	2 0 -2
44.03	100	1 1 1
61.90	30	1 1 -3
62.38	29	3 1 -1

Cell and atoms:
Cell: 5.205 2.911 5.253 Å, 90.00 112.48 90.00°
Atoms (fractional coordinates):
Li (0.000, 0.000, 0.000)
Cr (0.500, 0.500, 0.000)
Ni (0.000, 0.500, 0.500)
Ni (0.500, 0.000, 0.500)
O (0.233, 0.000, 0.778)
O (0.283, 0.500, 0.261)
O (0.717, 0.500, 0.739)
O (0.767, 0.000, 0.222)



Calculated powder diffraction line list of Li2Cr3NiO8 for Cu Kα, 1.54184 Å, from the GGA+U geometry in Alexandria.

Main lines, low angle first (2θ = 10–90°):
2θ/deg	I/Imax	hkl
18.42	100	1 1 1
35.69	47	1 3 1
43.38	55	0 0 4
57.38	20	1 5 1
63.02	32	4 0 4
66.27	13	5 3 1

Cell and atoms:
Cell: 8.347 8.347 8.336 Å, 90.00 90.00 90.00°
Atoms (fractional coordinates):
Li (0.002, 0.248, 0.000)
Li (0.248, 0.998, 0.250)
Li (0.250, 0.502, 0.751)
Li (0.498, 0.250, 0.501)
Li (0.502, 0.750, 0.001)
Li (0.750, 0.498, 0.251)
Li (0.752, 0.002, 0.750)
Li (0.998, 0.752, 0.500)
Cr (0.122, 0.131, 0.622)
Cr (0.128, 0.621, 0.121)
Cr (0.131, 0.878, 0.872)
Cr (0.374, 0.619, 0.371)
Cr (0.379, 0.128, 0.871)
Cr (0.381, 0.374, 0.121)
Cr (0.619, 0.626, 0.621)
Cr (0.621, 0.872, 0.371)
Cr (0.626, 0.381, 0.871)
Cr (0.869, 0.122, 0.372)
Cr (0.872, 0.379, 0.621)
Cr (0.878, 0.869, 0.122)
Ni (0.125, 0.374, 0.376)
Ni (0.374, 0.875, 0.626)
Ni (0.626, 0.125, 0.126)
Ni (0.875, 0.626, 0.876)
O (0.106, 0.121, 0.399)
O (0.110, 0.357, 0.624)
O (0.115, 0.640, 0.891)
O (0.116, 0.858, 0.109)
O (0.121, 0.894, 0.649)
O (0.142, 0.116, 0.859)
O (0.143, 0.397, 0.128)
O (0.148, 0.634, 0.354)
O (0.357, 0.890, 0.874)
O (0.360, 0.115, 0.641)
O (0.366, 0.148, 0.104)
O (0.366, 0.606, 0.133)
O (0.369, 0.393, 0.359)
O (0.393, 0.631, 0.609)
O (0.394, 0.366, 0.883)
O (0.397, 0.857, 0.378)
O (0.603, 0.143, 0.878)
O (0.606, 0.634, 0.383)
O (0.607, 0.369, 0.109)
O (0.631, 0.607, 0.859)
O (0.634, 0.394, 0.633)
O (0.634, 0.852, 0.604)
O (0.640, 0.885, 0.141)
O (0.643, 0.110, 0.374)
O (0.852, 0.366, 0.854)
O (0.857, 0.603, 0.628)
O (0.858, 0.884, 0.359)
O (0.879, 0.106, 0.149)
O (0.884, 0.142, 0.609)
O (0.885, 0.360, 0.391)
O (0.890, 0.643, 0.124)
O (0.894, 0.879, 0.899)